Computed powder diffraction line list
Compound: Rb3TlIn2Br9
Radiation: Cu Kα
Structure: a DFT-relaxed cell (GGA-PBE, Alexandria)
Peak positions follow from Bragg's law for the DFT cell and can differ from measured ones.

Cell and atoms:
```
data_Rb3TlIn2Br9
_cell_length_a 7.9049
_cell_length_b 7.9049
_cell_length_c 11.1406
_cell_angle_alpha 90.00
_cell_angle_beta 90.00
_cell_angle_gamma 120.00
_space_group_name_H-M_alt 'P -3 m 1'
_space_group_IT_number 164
_space_group_name_Hall '-P 3 2"'
loop_
_atom_site_label
_atom_site_fract_x
_atom_site_fract_y
_atom_site_fract_z
Rb1 0.0000 0.0000 0.0000
Rb2 0.3333 0.6667 0.7480
Tl1 0.0000 0.0000 0.5000
In1 0.3333 0.6667 0.1614
Br1 0.0000 0.5000 0.0000
Br2 0.1641 0.3282 0.2859
```

Largest 12 diffraction maxima, low angle first, 2θ from 15° to 90°:
2θ/deg, I (rel.)
15.19, 576
20.56, 235
22.50, 230
27.26, 260
30.66, 1000
33.10, 239
35.65, 331
41.81, 175
45.92, 351
56.23, 174
57.15, 134
75.43, 146



Computed powder diffraction line list
Compound: Mo3Os3C2
Radiation: Cu Kα
Structure: a DFT-relaxed cell (GGA-PBE, Alexandria)
Peak positions follow from Bragg's law for the DFT cell and can differ from measured ones.

Cell and atoms:
```
data_Mo3Os3C2
_cell_length_a 2.8802
_cell_length_b 2.8802
_cell_length_c 14.1710
_cell_angle_alpha 90.00
_cell_angle_beta 90.00
_cell_angle_gamma 120.00
_space_group_name_H-M_alt 'P -3 m 1'
_space_group_IT_number 164
_space_group_name_Hall '-P 3 2"'
loop_
_atom_site_label
_atom_site_fract_x
_atom_site_fract_y
_atom_site_fract_z
Mo1 0.0000 0.0000 0.0000
Mo2 0.3333 0.6667 0.8119
Os1 0.0000 0.0000 0.5000
Os2 0.3333 0.6667 0.3466
C1 0.3333 0.6667 0.0983
```

Largest 12 diffraction maxima, low angle first, 2θ from 15° to 90°:
2θ/deg, I (rel.)
38.10, 266
38.25, 1000
40.91, 143
44.42, 659
44.77, 83
48.63, 136
64.52, 149
64.73, 238
70.76, 86
77.69, 334
81.89, 112
82.14, 87



Computed powder diffraction line list
Compound: NaPm2Cl2F5
Radiation: Cu Kα
Structure: a DFT-relaxed cell (GGA-PBE, Alexandria)
Peak positions follow from Bragg's law for the DFT cell and can differ from measured ones.

Cell and atoms:
```
data_NaPm2Cl2F5
_cell_length_a 9.788
_cell_length_b 9.788
_cell_length_c 3.542
_cell_angle_alpha 90.00
_cell_angle_beta 90.00
_cell_angle_gamma 90.00
_space_group_name_H-M_alt 'P 4/m b m'
_space_group_IT_number 127
_space_group_name_Hall '-P 4 2ab'
loop_
_atom_site_label
_atom_site_fract_x
_atom_site_fract_y
_atom_site_fract_z
Na1 0.000 0.000 0.000
Pm1 0.133 0.367 0.000
Cl1 0.164 0.664 0.000
F1 0.000 0.500 0.500
F2 0.078 0.219 0.500
```

Largest 12 diffraction maxima, low angle first, 2θ from 15° to 90°:
2θ/deg, I (rel.)
20.29, 1000
25.14, 364
28.30, 186
28.85, 404
32.52, 334
36.73, 234
38.63, 737
39.04, 184
41.93, 395
45.03, 400
56.95, 158
59.46, 168



Computed powder diffraction line list
Compound: PrThRuBr
Radiation: Cu Kα
Structure: a DFT-relaxed cell (GGA-PBE, Alexandria)
Peak positions follow from Bragg's law for the DFT cell and can differ from measured ones.

Cell and atoms:
```
data_PrThRuBr
_cell_length_a 4.0973
_cell_length_b 4.0973
_cell_length_c 24.1559
_cell_angle_alpha 90.00
_cell_angle_beta 90.00
_cell_angle_gamma 120.00
_space_group_name_H-M_alt 'R 3 m'
_space_group_IT_number 160
_space_group_name_Hall 'R 3 -2"'
loop_
_atom_site_label
_atom_site_fract_x
_atom_site_fract_y
_atom_site_fract_z
Pr1 0.0000 0.0000 0.0000
Th1 0.0000 0.0000 0.2059
Ru1 0.0000 0.0000 0.5948
Br1 0.0000 0.0000 0.7672
```

Largest 12 diffraction maxima, low angle first, 2θ from 15° to 90°:
2θ/deg, I (rel.)
25.37, 138
26.18, 282
29.19, 309
31.28, 1000
33.38, 108
36.31, 149
39.17, 111
44.21, 455
45.42, 235
55.15, 202
56.51, 148
73.25, 174



Computed powder diffraction line list
Compound: Tb2Pr3Dy6
Radiation: Cu Kα
Structure: a DFT-relaxed cell (GGA-PBE, Alexandria)
Peak positions follow from Bragg's law for the DFT cell and can differ from measured ones.

Cell and atoms:
```
data_Tb2Pr3Dy6
_cell_length_a 5.834
_cell_length_b 11.698
_cell_length_c 10.909
_cell_angle_alpha 90.00
_cell_angle_beta 96.45
_cell_angle_gamma 90.00
_space_group_name_H-M_alt 'C 1 2/m 1'
_space_group_IT_number 12
_space_group_name_Hall '-C 2y'
loop_
_atom_site_label
_atom_site_fract_x
_atom_site_fract_y
_atom_site_fract_z
Tb1 0.000 0.139 0.000
Pr1 0.000 0.187 0.500
Pr2 0.000 0.500 0.500
Dy1 0.052 0.345 0.207
Dy2 0.068 0.000 0.269
```

Largest 12 diffraction maxima, low angle first, 2θ from 15° to 90°:
2θ/deg, I (rel.)
28.29, 157
28.64, 131
30.85, 394
31.30, 695
31.55, 138
31.69, 124
33.10, 1000
46.58, 117
48.50, 106
52.56, 115
56.93, 113
57.48, 103



Computed powder diffraction line list
Compound: ReRh7
Radiation: Cu Kα
Structure: a DFT-relaxed cell (GGA-PBE, Alexandria)
Peak positions follow from Bragg's law for the DFT cell and can differ from measured ones.

Cell and atoms:
```
data_ReRh7
_cell_length_a 5.426
_cell_length_b 10.907
_cell_length_c 3.850
_cell_angle_alpha 90.00
_cell_angle_beta 90.00
_cell_angle_gamma 90.00
_space_group_name_H-M_alt 'C m m m'
_space_group_IT_number 65
_space_group_name_Hall '-C 2 2'
loop_
_atom_site_label
_atom_site_fract_x
_atom_site_fract_y
_atom_site_fract_z
Re1 0.000 0.000 0.000
Rh1 0.000 0.245 0.000
Rh2 0.000 0.500 0.000
Rh3 0.246 0.123 0.500
```

Largest 12 diffraction maxima, low angle first, 2θ from 15° to 90°:
2θ/deg, I (rel.)
18.26, 73
40.54, 1000
40.68, 994
47.25, 963
68.87, 100
69.03, 405
69.26, 100
83.18, 361
83.29, 122
83.45, 240
87.72, 107
88.09, 108



Computed powder diffraction line list
Compound: TmAgSnBr6
Radiation: Cu Kα
Structure: a DFT-relaxed cell (GGA-PBE, Alexandria)
Peak positions follow from Bragg's law for the DFT cell and can differ from measured ones.

Cell and atoms:
```
data_TmAgSnBr6
_cell_length_a 7.1812
_cell_length_b 7.1812
_cell_length_c 13.2100
_cell_angle_alpha 90.00
_cell_angle_beta 90.00
_cell_angle_gamma 120.00
_space_group_name_H-M_alt 'P -3 1 c'
_space_group_IT_number 163
_space_group_name_Hall '-P 3 2c'
loop_
_atom_site_label
_atom_site_fract_x
_atom_site_fract_y
_atom_site_fract_z
Tm1 0.3333 0.6667 0.2500
Ag1 0.3333 0.6667 0.7500
Sn1 0.0000 0.0000 0.0000
Br1 0.0122 0.3543 0.1284
```

Largest 12 diffraction maxima, low angle first, 2θ from 15° to 90°:
2θ/deg, I (rel.)
19.61, 819
28.29, 985
31.81, 242
36.98, 1000
40.74, 268
43.66, 687
48.50, 226
52.85, 153
58.52, 252
73.29, 264
75.78, 236
80.19, 132



Computed powder diffraction line list
Compound: KZr2NiS4
Radiation: Cu Kα
Structure: a DFT-relaxed cell (GGA-PBE, Alexandria)
Peak positions follow from Bragg's law for the DFT cell and can differ from measured ones.

Cell and atoms:
```
data_KZr2NiS4
_cell_length_a 3.715
_cell_length_b 13.062
_cell_length_c 13.076
_cell_angle_alpha 90.00
_cell_angle_beta 90.00
_cell_angle_gamma 90.00
_space_group_name_H-M_alt 'C m c m'
_space_group_IT_number 63
_space_group_name_Hall '-C 2c 2'
loop_
_atom_site_label
_atom_site_fract_x
_atom_site_fract_y
_atom_site_fract_z
K1 0.000 0.114 0.250
Zr1 0.000 0.372 0.067
Ni1 0.000 0.162 0.750
S1 0.000 0.000 0.000
S2 0.000 0.262 0.610
S3 0.000 0.436 0.250
```

Largest 12 diffraction maxima, low angle first, 2θ from 15° to 90°:
2θ/deg, I (rel.)
15.16, 955
24.55, 389
27.30, 329
28.47, 251
32.41, 707
34.58, 1000
37.03, 335
41.43, 252
46.64, 248
47.38, 693
49.02, 385
66.07, 215



Computed powder diffraction line list
Compound: Rb2ReI6Br
Radiation: Cu Kα
Structure: a DFT-relaxed cell (GGA-PBE, Alexandria)
Peak positions follow from Bragg's law for the DFT cell and can differ from measured ones.

Cell and atoms:
```
data_Rb2ReI6Br
_cell_length_a 8.441
_cell_length_b 8.441
_cell_length_c 12.659
_cell_angle_alpha 90.00
_cell_angle_beta 90.00
_cell_angle_gamma 90.00
_space_group_name_H-M_alt 'I 4/m m m'
_space_group_IT_number 139
_space_group_name_Hall '-I 4 2'
loop_
_atom_site_label
_atom_site_fract_x
_atom_site_fract_y
_atom_site_fract_z
Rb1 0.000 0.500 0.250
Re1 0.000 0.000 0.000
I1 0.000 0.000 0.216
I2 0.231 0.231 0.000
Br1 0.000 0.000 0.500
```

Largest 12 diffraction maxima, low angle first, 2θ from 15° to 90°:
2θ/deg, I (rel.)
20.45, 179
25.36, 887
28.20, 527
29.94, 1000
39.13, 151
41.59, 693
42.86, 391
50.46, 216
52.09, 339
53.29, 140
62.22, 146
77.64, 181



Computed powder diffraction line list
Compound: K3VCl8
Radiation: Cu Kα
Structure: a DFT-relaxed cell (GGA-PBE, Alexandria)
Peak positions follow from Bragg's law for the DFT cell and can differ from measured ones.

Cell and atoms:
```
data_K3VCl8
_cell_length_a 7.077
_cell_length_b 7.077
_cell_length_c 13.916
_cell_angle_alpha 90.00
_cell_angle_beta 90.00
_cell_angle_gamma 90.00
_space_group_name_H-M_alt 'I 4/m m m'
_space_group_IT_number 139
_space_group_name_Hall '-I 4 2'
loop_
_atom_site_label
_atom_site_fract_x
_atom_site_fract_y
_atom_site_fract_z
K1 0.000 0.000 0.000
K2 0.000 0.500 0.250
V1 0.000 0.000 0.500
Cl1 0.211 0.211 0.393
```

Largest 12 diffraction maxima, low angle first, 2θ from 15° to 90°:
2θ/deg, I (rel.)
21.88, 787
35.89, 501
36.21, 1000
38.72, 100
42.43, 202
42.99, 128
46.78, 187
50.73, 81
51.67, 108
57.20, 116
64.72, 165
65.33, 87



Computed powder diffraction line list
Compound: Ba2MgS2Cl2
Radiation: Cu Kα
Structure: a DFT-relaxed cell (GGA-PBE, Alexandria)
Peak positions follow from Bragg's law for the DFT cell and can differ from measured ones.

Cell and atoms:
```
data_Ba2MgS2Cl2
_cell_length_a 4.987
_cell_length_b 4.987
_cell_length_c 16.082
_cell_angle_alpha 90.00
_cell_angle_beta 90.00
_cell_angle_gamma 90.00
_space_group_name_H-M_alt 'I 4/m m m'
_space_group_IT_number 139
_space_group_name_Hall '-I 4 2'
loop_
_atom_site_label
_atom_site_fract_x
_atom_site_fract_y
_atom_site_fract_z
Ba1 0.000 0.000 0.124
Mg1 0.000 0.000 0.500
S1 0.000 0.500 0.000
Cl1 0.000 0.000 0.321
```

Largest 12 diffraction maxima, low angle first, 2θ from 15° to 90°:
2θ/deg, I (rel.)
18.63, 698
22.11, 240
24.38, 413
25.25, 911
33.14, 785
33.81, 1000
36.02, 747
40.85, 201
43.97, 186
49.75, 475
51.85, 249
63.35, 309



Computed powder diffraction line list
Compound: Ce7Os2Pb2
Radiation: Cu Kα
Structure: a DFT-relaxed cell (GGA-PBE, Alexandria)
Peak positions follow from Bragg's law for the DFT cell and can differ from measured ones.

Cell and atoms:
```
data_Ce7Os2Pb2
_cell_length_a 8.235
_cell_length_b 11.509
_cell_length_c 6.787
_cell_angle_alpha 90.00
_cell_angle_beta 90.00
_cell_angle_gamma 90.00
_space_group_name_H-M_alt 'C m m m'
_space_group_IT_number 65
_space_group_name_Hall '-C 2 2'
loop_
_atom_site_label
_atom_site_fract_x
_atom_site_fract_y
_atom_site_fract_z
Ce1 0.000 0.000 0.000
Ce2 0.000 0.500 0.202
Ce3 0.250 0.250 0.266
Os1 0.000 0.269 0.000
Pb1 0.185 0.000 0.500
```

Largest 12 diffraction maxima, low angle first, 2θ from 15° to 90°:
2θ/deg, I (rel.)
20.23, 349
25.30, 743
29.51, 281
31.08, 757
37.01, 282
37.74, 1000
40.48, 439
42.95, 263
43.98, 173
54.83, 170
59.76, 233
63.65, 209